# 1
Simulated PXRD pattern
Compound: Sr3Ac3In4
Radiation: λ = 1.5418 Å (Cu Kα)
Structure: DFT lattice parameters and positions (PBE)
Intensities are scaled so that the largest is 100.

```
data_Sr3Ac3In4
_cell_length_a 4.450
_cell_length_b 13.141
_cell_length_c 13.088
_cell_angle_alpha 90.00
_cell_angle_beta 90.00
_cell_angle_gamma 90.00
_space_group_name_H-M_alt 'A m m 2'
_space_group_IT_number 38
loop_
_space_group_symop_operation_xyz
'x,y,z'
'-x,-y,z'
'-x,y,z'
'x,-y,z'
'x,y+1/2,z+1/2'
'-x,-y+1/2,z+1/2'
'-x,y+1/2,z+1/2'
'x,-y+1/2,z+1/2'
loop_
_atom_site_label
_atom_site_type_symbol
_atom_site_fract_x
_atom_site_fract_y
_atom_site_fract_z
_atom_site_occupancy
Sr1 Sr 0.000 0.000 0.000 1
Sr2 Sr 0.500 0.249 0.582 1
Ac1 Ac 0.000 0.000 0.667 1
Ac2 Ac 0.000 0.167 0.332 1
In1 In 0.500 0.000 0.207 1
In2 In 0.500 0.000 0.460 1
In3 In 0.500 0.128 0.832 1
```

Peak list (10 most intense, 2θ from 10° to 90°, by angle)
| h k l | 2θ/deg | I/Imax |
| --- | --- | --- |
| 0 0 2 | 13.5 | 14 |
| 1 2 2 | 27.8 | 22 |
| 1 3 1 | 29.4 | 100 |
| 0 2 4 | 30.5 | 36 |
| 2 0 0 | 40.5 | 15 |
| 1 3 5 | 45.2 | 14 |
| 2 2 4 | 51.6 | 17 |
| 1 6 4 | 54.5 | 9 |
| 1 3 7 | 57.4 | 13 |
| 3 3 1 | 67.0 | 10 |


# 2
Simulated PXRD pattern
Compound: Sr2AcIn3
Radiation: λ = 1.5418 Å (Cu Kα)
Structure: DFT lattice parameters and positions (PBE)
Intensities are scaled so that the largest is 100.

```
data_Sr2AcIn3
_cell_length_a 5.781
_cell_length_b 17.359
_cell_length_c 8.175
_cell_angle_alpha 90.00
_cell_angle_beta 90.01
_cell_angle_gamma 90.00
_space_group_name_H-M_alt 'C 1 2/m 1'
_space_group_IT_number 12
loop_
_space_group_symop_operation_xyz
'x,y,z'
'-x,-y,-z'
'-x,y,-z'
'x,-y,z'
'x+1/2,y+1/2,z'
'-x+1/2,-y+1/2,-z'
'-x+1/2,y+1/2,-z'
'x+1/2,-y+1/2,z'
loop_
_atom_site_label
_atom_site_type_symbol
_atom_site_fract_x
_atom_site_fract_y
_atom_site_fract_z
_atom_site_occupancy
Sr1 Sr 0.000 0.000 0.000 1
Sr2 Sr 0.000 0.000 0.500 1
Sr3 Sr 0.000 0.333 0.000 1
Ac1 Ac 0.000 0.338 0.500 1
In1 In 0.000 0.168 0.249 1
In2 In 0.001 0.500 0.243 1
```

Peak list (10 most intense, 2θ from 10° to 90°, by angle)
| h k l | 2θ/deg | I/Imax |
| --- | --- | --- |
| 0 0 1 | 10.8 | 5 |
| 1 3 -1 | 24.3 | 4 |
| 2 0 0 | 30.9 | 100 |
| 0 0 3 | 32.9 | 2 |
| 0 0 4 | 44.3 | 18 |
| 3 3 2 | 55.0 | 38 |
| 4 0 0 | 64.5 | 12 |
| 4 6 0 | 73.2 | 16 |
| 4 0 4 | 81.6 | 4 |
| 5 3 2 | 89.7 | 20 |


# 3
Simulated PXRD pattern
Compound: Sr5AcIn6
Radiation: λ = 1.5418 Å (Cu Kα)
Structure: DFT lattice parameters and positions (PBE)
Intensities are scaled so that the largest is 100.

```
data_Sr5AcIn6
_cell_length_a 9.967
_cell_length_b 17.383
_cell_length_c 5.789
_cell_angle_alpha 90.00
_cell_angle_beta 125.49
_cell_angle_gamma 90.00
_space_group_name_H-M_alt 'C 1 2/m 1'
_space_group_IT_number 12
loop_
_space_group_symop_operation_xyz
'x,y,z'
'-x,-y,-z'
'-x,y,-z'
'x,-y,z'
'x+1/2,y+1/2,z'
'-x+1/2,-y+1/2,-z'
'-x+1/2,y+1/2,-z'
'x+1/2,-y+1/2,z'
loop_
_atom_site_label
_atom_site_type_symbol
_atom_site_fract_x
_atom_site_fract_y
_atom_site_fract_z
_atom_site_occupancy
Sr1 Sr 0.000 0.000 0.000 1
Sr2 Sr 0.000 0.167 0.500 1
Sr3 Sr 0.000 0.331 0.000 1
Ac1 Ac 0.000 0.500 0.500 1
In1 In 0.249 0.166 0.248 1
In2 In 0.250 0.000 0.750 1
```

Peak list (10 most intense, 2θ from 10° to 90°, by angle)
| h k l | 2θ/deg | I/Imax |
| --- | --- | --- |
| 0 6 0 | 30.9 | 51 |
| 1 3 1 | 31.0 | 100 |
| 2 6 -2 | 44.2 | 19 |
| 4 0 0 | 44.7 | 9 |
| 5 3 -3 | 55.0 | 39 |
| 4 6 0 | 55.3 | 19 |
| 2 6 2 | 64.7 | 12 |
| 4 6 -4 | 73.1 | 12 |
| 7 3 -5 | 89.6 | 10 |
| 0 6 4 | 89.9 | 10 |


- Which formula does entry 1 have?
  Sr3Ac3In4